The following is a computed XRD peak list of LiFeN. It was derived from the GGA-PBE geometry in the Materials Project, using Cu Kα (λ = 1.5418 Å).
Kinematic intensities with the Lorentz-polarization factor, no thermal factor.

Atomic structure:
Cell: 3.1006 3.1006 4.1453 Å, 90.00 90.00 120.00°
Space group P-6m2 (No. 187)
One atom of each set of equivalent atoms:
Li1 0.0000 0.0000 0.0000 (multiplicity 1)
Fe1 0.3333 0.6667 0.5000 (multiplicity 1)
N1 0.0000 0.0000 0.5000 (multiplicity 1)

Main lines, low angle first (5° ≤ 2θ ≤ 70°):
(0 0 1), 21.44°, I = 100; (1 0 0), 33.37°, I = 54; (1 0 1), 40.01°, I = 73; (0 0 2), 43.67°, I = 18; (1 0 2), 56.05°, I = 23; (1 1 0), 59.64°, I = 19; (1 1 1), 64.13°, I = 21; (0 0 3), 67.82°, I = 3

=====

The following is a computed XRD peak list of LiFeN. It was derived from the GGA-PBE geometry in the Materials Project, using Cu Kα (λ = 1.5418 Å).
Kinematic intensities with the Lorentz-polarization factor, no thermal factor.

Atomic structure:
Cell: 9.354 2.882 4.333 Å, 90.00 90.00 90.00°
Space group Pnma (No. 62)
One atom of each set of equivalent atoms:
Li1 0.001 0.250 0.237 (multiplicity 4)
Fe1 0.242 0.750 0.043 (multiplicity 4)
N1 0.147 0.250 0.884 (multiplicity 4)

Main lines, low angle first (5° ≤ 2θ ≤ 70°):
(2 0 0), 18.97°, I = 100; (4 0 0), 38.50°, I = 13; (1 1 1), 38.74°, I = 44; (0 0 2), 41.69°, I = 8; (2 1 1), 42.33°, I = 8; (2 0 2), 46.18°, I = 17; (3 1 1), 47.83°, I = 34; (5 1 1), 63.00°, I = 15; (0 2 0), 64.69°, I = 5; (2 2 0), 68.08°, I = 5

=====

The following is a computed XRD peak list of Li3FeN2. It was derived from the GGA-PBE geometry in the Materials Project, using Cu Kα (λ = 1.5418 Å).
Kinematic intensities with the Lorentz-polarization factor, no thermal factor.

Atomic structure:
Cell: 4.802 9.515 4.665 Å, 90.00 90.00 90.00°
Space group Ibam (No. 72)
One atom of each set of equivalent atoms:
Li1 0.000 0.000 0.250 (multiplicity 4)
Li2 0.000 0.243 0.250 (multiplicity 8)
Fe1 0.000 0.500 0.250 (multiplicity 4)
N1 0.220 0.386 0.000 (multiplicity 8)

Main lines, low angle first (5° ≤ 2θ ≤ 70°):
(0 2 0), 18.65°, I = 65; (1 1 0), 20.72°, I = 100; (1 2 1), 32.72°, I = 13; (1 3 0), 33.87°, I = 23; (1 1 2), 44.20°, I = 19; (1 3 2), 52.28°, I = 15; (2 4 0), 54.29°, I = 18; (2 0 2), 54.88°, I = 18; (0 4 2), 55.15°, I = 18; (2 2 2), 58.48°, I = 13

=====

What did the first record say?
The following is a computed XRD peak list of LiFeN. It was derived from the GGA-PBE geometry in the Materials Project, using Cu Kα (λ = 1.5418 Å).
Kinematic intensities with the Lorentz-polarization factor, no thermal factor.

Atomic structure:
Cell: 3.1006 3.1006 4.1453 Å, 90.00 90.00 120.00°
Space group P-6m2 (No. 187)
One atom of each set of equivalent atoms:
Li1 0.0000 0.0000 0.0000 (multiplicity 1)
Fe1 0.3333 0.6667 0.5000 (multiplicity 1)
N1 0.0000 0.0000 0.5000 (multiplicity 1)

Main lines, low angle first (5° ≤ 2θ ≤ 70°):
(0 0 1), 21.44°, I = 100; (1 0 0), 33.37°, I = 54; (1 0 1), 40.01°, I = 73; (0 0 2), 43.67°, I = 18; (1 0 2), 56.05°, I = 23; (1 1 0), 59.64°, I = 19; (1 1 1), 64.13°, I = 21; (0 0 3), 67.82°, I = 3